# 1
This entry pairs a crystal structure of Mg6MnCO8 with its computed powder XRD pattern. Radiation: a wavelength of 1.5418 Å. Structure: a crystal structure in the Materials Project, relaxed with PBE+U.

Atomic structure:
Lattice parameters (Å, degrees): 4.2526 4.2526 8.6058 90.00 90.00 90.00
Element x y z (fractional)
1 Mg 0.0000 0.0000 0.0000
2 Mg 0.0000 0.5000 0.2519
3 Mg 0.0000 0.5000 0.7481
4 Mg 0.5000 0.0000 0.2519
5 Mg 0.5000 0.0000 0.7481
6 Mg 0.5000 0.5000 0.0000
7 Mn 0.0000 0.0000 0.5000
8 C 0.5000 0.5000 0.5000
9 O 0.0000 0.0000 0.2446
10 O 0.0000 0.0000 0.7554
11 O 0.0000 0.5000 0.0000
12 O 0.0000 0.5000 0.5000
13 O 0.5000 0.0000 0.0000
14 O 0.5000 0.0000 0.5000
15 O 0.5000 0.5000 0.2490
16 O 0.5000 0.5000 0.7510

Most intense lines, 15° ≤ 2θ ≤ 90°, most intense first:
2θ = 42.52°, I = 100
2θ = 61.29°, I = 57
2θ = 41.99°, I = 52
2θ = 61.69°, I = 28
2θ = 77.44°, I = 25
2θ = 36.45°, I = 21
2θ = 23.33°, I = 16
2θ = 20.89°, I = 11
2θ = 29.53°, I = 9
2θ = 73.83°, I = 8
2θ = 37.83°, I = 6
2θ = 49.06°, I = 4

---

# 2
This entry pairs a crystal structure of LiMnBO3 with its computed powder XRD pattern. Radiation: a wavelength of 1.5418 Å. Structure: a crystal structure in the Materials Project, relaxed with PBE+U.

Atomic structure:
Lattice parameters (Å, degrees): 5.2448 5.2448 10.5731 91.01 91.01 119.79
Element x y z (fractional)
1 Li 0.0056 0.9944 0.5000
2 Li 0.3074 0.3361 0.2502
3 Li 0.3361 0.3074 0.7502
4 Li 0.9944 0.0056 0.0000
5 Mn 0.3269 0.6605 0.9653
6 Mn 0.6605 0.9795 0.7152
7 Mn 0.6605 0.3269 0.4653
8 Mn 0.9795 0.6605 0.2152
9 B 0.3218 0.6608 0.4573
10 B 0.6541 0.9994 0.2072
11 B 0.6608 0.3218 0.9573
12 B 0.9994 0.6541 0.7072
13 O 0.0291 0.9293 0.6915
14 O 0.0785 0.6940 0.4264
15 O 0.2366 0.6242 0.7497
16 O 0.2974 0.3868 0.4420
17 O 0.3868 0.2974 0.9420
18 O 0.4032 0.7281 0.1770
19 O 0.5855 0.9027 0.5005
20 O 0.6242 0.2366 0.2497
21 O 0.6940 0.0785 0.9264
22 O 0.7281 0.4032 0.6770
23 O 0.9027 0.5855 0.0005
24 O 0.9293 0.0291 0.1915

Most intense lines, 15° ≤ 2θ ≤ 90°, most intense first:
2θ = 33.94°, I = 100
2θ = 34.17°, I = 85
2θ = 19.55°, I = 64
2θ = 21.50°, I = 58
2θ = 40.30°, I = 47
2θ = 25.44°, I = 46
2θ = 21.31°, I = 37
2θ = 26.24°, I = 28
2θ = 48.01°, I = 26
2θ = 40.68°, I = 23
2θ = 61.11°, I = 21
2θ = 38.04°, I = 16

---

# 3
This entry pairs a crystal structure of KLiW6O18 with its computed powder XRD pattern. Radiation: a wavelength of 1.5418 Å. Structure: a crystal structure in the Materials Project, relaxed with PBE+U.

Atomic structure:
Lattice parameters (Å, degrees): 7.5337 7.5337 7.7699 90.01 90.01 60.29
Element x y z (fractional)
1 K 0.0000 0.0000 0.0000
2 Li 0.2962 0.2962 0.4841
3 W 0.4975 0.9949 0.7359
4 W 0.4993 0.4993 0.2329
5 W 0.4992 0.4992 0.7338
6 W 0.5077 0.9962 0.2313
7 W 0.9949 0.4975 0.7359
8 W 0.9962 0.5077 0.2313
9 O 0.0100 0.4937 0.9833
10 O 0.2109 0.5732 0.2394
11 O 0.2148 0.5720 0.7269
12 O 0.2155 0.2155 0.2444
13 O 0.2157 0.2157 0.7221
14 O 0.4249 0.7850 0.7421
15 O 0.4251 0.7890 0.2248
16 O 0.4937 0.0100 0.9833
17 O 0.4942 0.4942 0.9835
18 O 0.5028 0.5028 0.4831
19 O 0.5045 0.9925 0.4833
20 O 0.5720 0.2148 0.7269
21 O 0.5732 0.2109 0.2394
22 O 0.7850 0.4249 0.7421
23 O 0.7884 0.7884 0.7434
24 O 0.7890 0.4251 0.2248
25 O 0.7887 0.7887 0.2232
26 O 0.9925 0.5045 0.4833

Most intense lines, 15° ≤ 2θ ≤ 90°, most intense first:
2θ = 27.26°, I = 100
2θ = 22.89°, I = 77
2θ = 35.90°, I = 71
2θ = 27.38°, I = 50
2θ = 55.00°, I = 43
2θ = 26.70°, I = 38
2θ = 48.32°, I = 25
2θ = 54.12°, I = 23
2θ = 33.10°, I = 21
2θ = 46.77°, I = 17
2θ = 61.51°, I = 16
2θ = 69.52°, I = 16

---

# 4
This entry pairs a crystal structure of ZnNi4O8 with its computed powder XRD pattern. Radiation: a wavelength of 1.5418 Å. Structure: a crystal structure in the Materials Project, relaxed with PBE+U.

Atomic structure:
Lattice parameters (Å, degrees): 6.0072 6.0072 6.0072 56.70 56.70 56.70
Element x y z (fractional)
1 Zn 0.0000 0.0000 0.0000
2 Ni 0.0000 0.0000 0.5000
3 Ni 0.0000 0.5000 0.0000
4 Ni 0.5000 0.0000 0.0000
5 Ni 0.5000 0.5000 0.5000
6 O 0.2077 0.7467 0.7467
7 O 0.2297 0.2297 0.2297
8 O 0.2533 0.2533 0.7923
9 O 0.2533 0.7923 0.2533
10 O 0.7467 0.2077 0.7467
11 O 0.7467 0.7467 0.2077
12 O 0.7703 0.7703 0.7703
13 O 0.7923 0.2533 0.2533

Most intense lines, 15° ≤ 2θ ≤ 90°, most intense first:
2θ = 17.65°, I = 100
2θ = 43.82°, I = 96
2θ = 18.90°, I = 32
2θ = 38.35°, I = 32
2θ = 61.95°, I = 26
2θ = 65.44°, I = 25
2θ = 36.87°, I = 25
2θ = 21.51°, I = 16
2θ = 35.75°, I = 15
2θ = 56.72°, I = 15
2θ = 82.11°, I = 13
2θ = 68.37°, I = 11

---

# 5
This entry pairs a crystal structure of LiV2O3F with its computed powder XRD pattern. Radiation: a wavelength of 1.5418 Å. Structure: a crystal structure in the Materials Project, relaxed with PBE+U.

Atomic structure:
Lattice parameters (Å, degrees): 8.0172 8.0172 6.0179 112.00 112.00 64.52
Element x y z (fractional)
1 Li 0.1201 0.8799 0.5000
2 Li 0.1329 0.3899 0.2876
3 Li 0.3899 0.1329 0.7876
4 Li 0.8799 0.1201 0.0000
5 V 0.1208 0.6280 0.8981
6 V 0.3665 0.9048 0.1699
7 V 0.4957 0.5107 0.2646
8 V 0.5107 0.4957 0.7646
9 V 0.6280 0.1208 0.3981
10 V 0.7542 0.7591 0.0226
11 V 0.7591 0.7542 0.5226
12 V 0.9048 0.3665 0.6699
13 O 0.2590 0.7495 0.2333
14 O 0.3814 0.4124 0.9082
15 O 0.4124 0.3814 0.4082
16 O 0.5128 0.9899 0.0500
17 O 0.5170 0.9845 0.5062
18 O 0.6056 0.6439 0.1350
19 O 0.6439 0.6056 0.6350
20 O 0.7495 0.2590 0.7333
21 O 0.8545 0.8758 0.3902
22 O 0.8758 0.8545 0.8902
23 O 0.9845 0.5170 0.0062
24 O 0.9899 0.5128 0.5500
25 F 0.1291 0.1348 0.1558
26 F 0.1348 0.1291 0.6558
27 F 0.2571 0.7501 0.7781
28 F 0.7501 0.2571 0.2781

Most intense lines, 15° ≤ 2θ ≤ 90°, most intense first:
2θ = 42.26°, I = 100
2θ = 18.02°, I = 78
2θ = 61.29°, I = 39
2θ = 24.30°, I = 26
2θ = 34.69°, I = 25
2θ = 32.39°, I = 21
2θ = 34.80°, I = 12
2θ = 32.23°, I = 10
2θ = 60.97°, I = 10
2θ = 61.65°, I = 10
2θ = 55.89°, I = 9
2θ = 76.96°, I = 7

---

# 6
This entry pairs a crystal structure of Li8Mn13Fe3O32 with its computed powder XRD pattern. Radiation: a wavelength of 1.5418 Å. Structure: a crystal structure in the Materials Project, relaxed with PBE+U.

Atomic structure:
Lattice parameters (Å, degrees): 8.3043 8.6626 10.1567 65.02 66.34 89.46
Element x y z (fractional)
1 Li 0.0645 0.3019 0.1246
2 Li 0.1860 0.4476 0.3765
3 Li 0.3136 0.0540 0.6237
4 Li 0.4339 0.1979 0.8769
5 Li 0.5661 0.8021 0.1231
6 Li 0.6864 0.9460 0.3763
7 Li 0.8140 0.5524 0.6235
8 Li 0.9355 0.6981 0.8754
9 Mn 0.0000 0.0000 0.0000
10 Mn 0.0000 0.0000 0.5000
11 Mn 0.1246 0.3755 0.7507
12 Mn 0.1251 0.8712 0.2508
13 Mn 0.2495 0.7479 0.4993
14 Mn 0.3746 0.6251 0.7497
15 Mn 0.3757 0.1239 0.2501
16 Mn 0.5000 0.5000 0.0000
17 Mn 0.6243 0.8761 0.7499
18 Mn 0.6254 0.3749 0.2503
19 Mn 0.7505 0.2521 0.5007
20 Mn 0.8749 0.1288 0.7492
21 Mn 0.8754 0.6245 0.2493
22 Fe 0.2502 0.7506 0.9989
23 Fe 0.5000 0.5000 0.5000
24 Fe 0.7498 0.2494 0.0011
25 O 0.0009 0.2332 0.9862
26 O 0.0241 0.7585 0.4844
27 O 0.0987 0.1129 0.7666
28 O 0.1141 0.6510 0.2423
29 O 0.1329 0.0934 0.2625
30 O 0.1507 0.6392 0.7327
31 O 0.2288 0.9824 0.0129
32 O 0.2476 0.9818 0.4851
33 O 0.2499 0.5156 0.5149
34 O 0.2706 0.5170 0.9866
35 O 0.3499 0.8597 0.2660
36 O 0.3626 0.4026 0.7442
37 O 0.3868 0.8484 0.7551
38 O 0.4016 0.3888 0.2330
39 O 0.4796 0.7323 0.5136
40 O 0.4985 0.2666 0.0154
41 O 0.5015 0.7334 0.9846
42 O 0.5204 0.2677 0.4864
43 O 0.5984 0.6112 0.7670
44 O 0.6132 0.1516 0.2449
45 O 0.6374 0.5974 0.2558
46 O 0.6501 0.1403 0.7340
47 O 0.7294 0.4830 0.0134
48 O 0.7501 0.4844 0.4851
49 O 0.7524 0.0182 0.5149
50 O 0.7712 0.0176 0.9871
51 O 0.8493 0.3608 0.2673
52 O 0.8671 0.9066 0.7375
53 O 0.8859 0.3490 0.7577
54 O 0.9013 0.8871 0.2334
55 O 0.9759 0.2415 0.5156
56 O 0.9991 0.7668 0.0138

Most intense lines, 15° ≤ 2θ ≤ 90°, most intense first:
2θ = 18.34°, I = 100
2θ = 18.07°, I = 41
2θ = 41.71°, I = 28
2θ = 43.60°, I = 25
2θ = 43.76°, I = 25
2θ = 34.70°, I = 18
2θ = 35.99°, I = 12
2θ = 35.77°, I = 11
2θ = 35.52°, I = 10
2θ = 35.87°, I = 9
2θ = 63.98°, I = 9
2θ = 61.60°, I = 8

---

# 7
This entry pairs a crystal structure of Na5GdMo4O16 with its computed powder XRD pattern. Radiation: a wavelength of 1.5418 Å. Structure: a crystal structure in the Materials Project, relaxed with PBE+U.

Atomic structure:
Lattice parameters (Å, degrees): 10.0585 10.0585 10.0585 109.44 109.44 109.54
Element x y z (fractional)
1 Na 0.1117 0.2790 0.0757
2 Na 0.2210 0.7967 0.8327
3 Na 0.2967 0.9640 0.5757
4 Na 0.3750 0.1250 0.2500
5 Na 0.4640 0.3883 0.6673
6 Na 0.5360 0.6117 0.3327
7 Na 0.6250 0.8750 0.7500
8 Na 0.7033 0.0360 0.4243
9 Na 0.7790 0.2033 0.1673
10 Na 0.8883 0.7210 0.9243
11 Gd 0.1250 0.3750 0.7500
12 Gd 0.8750 0.6250 0.2500
13 Mo 0.0450 0.0694 0.3365
14 Mo 0.2085 0.5450 0.4755
15 Mo 0.2329 0.7085 0.1635
16 Mo 0.4306 0.2671 0.9755
17 Mo 0.5694 0.7329 0.0245
18 Mo 0.7671 0.2915 0.8365
19 Mo 0.7915 0.4550 0.5245
20 Mo 0.9550 0.9306 0.6635
21 O 0.0048 0.5201 0.6535
22 O 0.0150 0.1575 0.2105
23 O 0.0201 0.8666 0.5153
24 O 0.0711 0.1489 0.8003
25 O 0.1487 0.4952 0.0153
26 O 0.1514 0.7292 0.3003
27 O 0.1962 0.8279 0.0721
28 O 0.2292 0.4289 0.5778
29 O 0.2558 0.1241 0.4279
30 O 0.3044 0.5150 0.3575
31 O 0.3279 0.7558 0.6317
32 O 0.3425 0.0531 0.8575
33 O 0.3511 0.6514 0.9222
34 O 0.3666 0.3513 0.8465
35 O 0.3759 0.3038 0.1317
36 O 0.4469 0.8044 0.2895
37 O 0.5531 0.1956 0.7105
38 O 0.6241 0.6962 0.8683
39 O 0.6334 0.6487 0.1535
40 O 0.6489 0.3486 0.0778
41 O 0.6575 0.9469 0.1425
42 O 0.6721 0.2442 0.3683
43 O 0.6956 0.4850 0.6425
44 O 0.7442 0.8759 0.5721
45 O 0.7708 0.5711 0.4222
46 O 0.8038 0.1721 0.9279
47 O 0.8486 0.2708 0.6997
48 O 0.8513 0.5048 0.9847
49 O 0.9289 0.8511 0.1997
50 O 0.9799 0.1334 0.4847
51 O 0.9850 0.8425 0.7895
52 O 0.9952 0.4799 0.3465

Most intense lines, 15° ≤ 2θ ≤ 90°, most intense first:
2θ = 28.76°, I = 100
2θ = 18.71°, I = 27
2θ = 24.23°, I = 25
2θ = 46.94°, I = 22
2θ = 58.37°, I = 19
2θ = 34.52°, I = 15
2θ = 53.53°, I = 15
2θ = 48.30°, I = 12
2θ = 39.57°, I = 10
2θ = 49.62°, I = 10
2θ = 30.82°, I = 9
2θ = 75.98°, I = 9